(1)
DyFeO3: computed XRD peak list (Cu Kα X-rays), based on a structure optimized by DFT (GGA+U).
Neutral-atom scattering factors, no anomalous dispersion.

Principal peaks in the range 2θ = 15–90°, sorted by position:
d (Å), I (rel.), hkl
3.878, 19, 1 0 1
3.465, 22, 1 1 1
2.735, 100, 1 2 1
2.667, 24, 0 0 2
1.730, 21, 3 1 1
1.553, 21, 1 2 3

```
data_DyFeO3
_cell_length_a 5.6472
_cell_length_b 7.7181
_cell_length_c 5.3338
_cell_angle_alpha 90.00
_cell_angle_beta 90.00
_cell_angle_gamma 90.00
_symmetry_space_group_name_H-M 'P n m a'
_symmetry_Int_Tables_number 62
loop_
_symmetry_equiv_pos_as_xyz
'x,y,z'
'-x,-y,-z'
'-x+1/2,-y,z+1/2'
'x+1/2,y,-z+1/2'
'x+1/2,-y+1/2,-z+1/2'
'-x+1/2,y+1/2,z+1/2'
'-x,y+1/2,-z'
'x,-y+1/2,z'
loop_
_atom_site_label
_atom_site_type_symbol
_atom_site_fract_x
_atom_site_fract_y
_atom_site_fract_z
Dy1 Dy 0.0686 0.2500 0.0196
Fe1 Fe 0.0000 0.0000 0.5000
O1 O 0.0433 0.7500 0.3829
O2 O 0.1948 0.5602 0.8077
```

=====

(2)
DyFe2O4: computed XRD peak list (Cu Kα X-rays), based on a structure optimized by DFT (GGA+U).
Neutral-atom scattering factors, no anomalous dispersion.

Principal peaks in the range 2θ = 15–90°, sorted by position:
d (Å), I (rel.), hkl
3.028, 100, 1 0 1
2.796, 44, 0 0 9
2.744, 85, 1 0 4
2.608, 75, 0 1 5
1.941, 46, 1 0 10
1.761, 55, 1 1 0

```
data_DyFe2O4
_cell_length_a 3.5218
_cell_length_b 3.5218
_cell_length_c 25.1606
_cell_angle_alpha 90.00
_cell_angle_beta 90.00
_cell_angle_gamma 120.00
_symmetry_space_group_name_H-M 'R -3 m'
_symmetry_Int_Tables_number 166
_symmetry_space_group_name_Hall '-R 3 2"'
loop_
_atom_site_label
_atom_site_type_symbol
_atom_site_fract_x
_atom_site_fract_y
_atom_site_fract_z
Dy1 Dy 0.0000 0.0000 0.0000
Fe1 Fe 0.0000 0.0000 0.2128
O1 O 0.0000 0.0000 0.1280
O2 O 0.0000 0.0000 0.2915
```

=====

(3)
Dy6Fe16O: computed XRD peak list (Cu Kα X-rays), based on a structure optimized by DFT (GGA+U).
Neutral-atom scattering factors, no anomalous dispersion.

Principal peaks in the range 2θ = 15–90°, sorted by position:
d (Å), I (rel.), hkl
3.009, 32, 3 1 0
2.747, 69, 2 2 2
2.543, 56, 3 2 1
2.379, 41, 4 0 0
2.243, 100, 3 3 0
1.435, 42, 6 2 2

```
data_Dy6Fe16O
_cell_length_a 9.5164
_cell_length_b 9.5164
_cell_length_c 9.5164
_cell_angle_alpha 90.00
_cell_angle_beta 90.00
_cell_angle_gamma 90.00
_symmetry_space_group_name_H-M 'I m -3 m'
_symmetry_Int_Tables_number 229
_symmetry_space_group_name_Hall '-I 4 2 3'
loop_
_atom_site_label
_atom_site_type_symbol
_atom_site_fract_x
_atom_site_fract_y
_atom_site_fract_z
Dy1 Dy 0.0000 0.0000 0.2610
Fe1 Fe 0.0000 0.3400 0.3400
Fe2 Fe 0.2500 0.2500 0.2500
O1 O 0.0000 0.0000 0.0000
```

=====

(4)
RbDyFeO3: computed XRD peak list (Cu Kα X-rays), based on a structure optimized by DFT (GGA+U).
Neutral-atom scattering factors, no anomalous dispersion.

Principal peaks in the range 2θ = 15–90°, sorted by position:
d (Å), I (rel.), hkl
3.528, 64, 2 0 0
3.351, 41, 0 1 1
2.862, 31, 2 0 -3
2.812, 72, 0 1 2
2.617, 100, 2 1 -1
2.501, 34, 2 1 -2

```
data_RbDyFeO3
_cell_length_a 7.5969
_cell_length_b 3.6129
_cell_length_c 9.6445
_cell_angle_alpha 90.00
_cell_angle_beta 111.77
_cell_angle_gamma 90.00
_symmetry_space_group_name_H-M 'P 1 21/m 1'
_symmetry_Int_Tables_number 11
loop_
_symmetry_equiv_pos_as_xyz
'x,y,z'
'-x,-y,-z'
'-x,y+1/2,-z'
'x,-y+1/2,z'
loop_
_atom_site_label
_atom_site_type_symbol
_atom_site_fract_x
_atom_site_fract_y
_atom_site_fract_z
Rb1 Rb 0.0370 0.2500 0.3255
Dy1 Dy 0.4629 0.7500 0.6379
Fe1 Fe 0.4010 0.2500 0.8796
O1 O 0.2700 0.2500 0.6594
O2 O 0.3608 0.7500 0.3878
O3 O 0.4716 0.2500 0.1052
```